Computed XRD peak list
Compound: BaMgV2CuO8
Radiation: CuKα
Structure: a crystal structure in Alexandria, relaxed with GGA+U
Intensities are scaled so that the largest is 100.

Top 10 peaks for 2θ from 5° to 70°, sorted by position:
19.72°, intensity 40
23.34°, intensity 55
25.63°, intensity 45
30.05°, intensity 44
30.32°, intensity 100
30.79°, intensity 66
31.16°, intensity 85
32.03°, intensity 53
36.79°, intensity 53
61.82°, intensity 40

Crystal structure
Lattice parameters (Å, degrees): 8.413 13.162 12.345 90.00 90.00 90.00
Space group Iba2 (No. 45)
Symmetry-distinct sites (fractional):
Ba 0.106 0.249 0.000
Mg 0.127 0.082 0.673
V 0.000 0.000 0.421
V 0.000 0.500 0.083
V 0.248 0.328 0.751
Cu 0.123 0.416 0.335
O 0.096 0.084 0.505
O 0.100 0.416 0.499
O 0.105 0.398 0.825
O 0.118 0.091 0.182
O 0.132 0.428 0.165
O 0.142 0.071 0.844
O 0.156 0.245 0.345
O 0.160 0.244 0.660